Record 1
# Rb2Cd2SeS2
Simulated X-ray powder pattern, a wavelength of 1.5418 Å. Input: a DFT-relaxed cell (GGA-PBE, Alexandria).
Lines closer than 0.1° are merged.

Cell: 7.618 7.618 8.690 Å, 123.22 123.22 32.57°
Element x y z (fractional)
1 Rb 0.055 0.055 0.264
2 Rb 0.945 0.945 0.736
3 Cd 0.300 0.300 0.184
4 Cd 0.700 0.700 0.816
5 Se 0.500 0.500 0.500
6 S 0.321 0.321 0.895
7 S 0.679 0.679 0.105

The 10 most intense peaks (2θ = 10–80°), most intense first:
Position (°2θ)  intensity
30.4  100
12.7  87
23.2  72
32.0  53
27.8  47
30.6  45
42.3  40
24.8  39
27.4  38
43.2  37

=====

Record 2
# Rb3UCd2S6
Simulated X-ray powder pattern, a wavelength of 1.5418 Å. Input: a DFT-relaxed cell (GGA-PBE, Alexandria).
Lines closer than 0.1° are merged.

Cell: 7.725 7.725 8.667 Å, 90.00 90.00 120.00°
Element x y z (fractional)
1 Rb 0.000 0.000 0.000
2 Rb 0.333 0.667 0.707
3 Rb 0.667 0.333 0.293
4 U 0.000 0.000 0.500
5 Cd 0.333 0.667 0.306
6 Cd 0.667 0.333 0.694
7 S 0.152 0.304 0.307
8 S 0.152 0.848 0.307
9 S 0.304 0.152 0.693
10 S 0.696 0.848 0.307
11 S 0.848 0.152 0.693
12 S 0.848 0.696 0.693

The 10 most intense peaks (2θ = 10–80°), most intense first:
Position (°2θ)  intensity
23.0  100
24.5  78
41.3  65
33.8  65
10.2  56
47.1  27
13.2  24
40.5  23
25.2  22
53.7  19

=====

Record 3
# Rb2Zr3CdS8
Simulated X-ray powder pattern, a wavelength of 1.5418 Å. Input: a DFT-relaxed cell (GGA-PBE, Alexandria).
Lines closer than 0.1° are merged.

Cell: 9.359 9.359 9.359 Å, 47.80 47.80 47.80°
Element x y z (fractional)
1 Rb 0.000 0.000 0.000
2 Rb 0.348 0.348 0.348
3 Zr 0.352 0.352 0.847
4 Zr 0.352 0.847 0.352
5 Zr 0.847 0.352 0.352
6 Cd 0.841 0.841 0.841
7 S 0.080 0.080 0.562
8 S 0.080 0.562 0.080
9 S 0.127 0.127 0.127
10 S 0.145 0.613 0.613
11 S 0.562 0.080 0.080
12 S 0.576 0.576 0.576
13 S 0.613 0.145 0.613
14 S 0.613 0.613 0.145

The 10 most intense peaks (2θ = 10–80°), most intense first:
Position (°2θ)  intensity
10.7  100
30.8  76
37.3  42
48.0  36
40.0  31
27.4  27
21.5  24
23.5  15
32.0  14
53.1  13

=====

Record 4
# Rb2CdSb
Simulated X-ray powder pattern, a wavelength of 1.5418 Å. Input: a DFT-relaxed cell (GGA-PBE, Alexandria).
Lines closer than 0.1° are merged.

Cell: 7.003 7.003 12.321 Å, 116.03 116.03 48.87°
Element x y z (fractional)
1 Rb 0.114 0.242 0.093
2 Rb 0.242 0.114 0.593
3 Rb 0.758 0.886 0.407
4 Rb 0.886 0.758 0.907
5 Cd 0.322 0.678 0.750
6 Cd 0.678 0.322 0.250
7 Sb 0.179 0.821 0.250
8 Sb 0.821 0.179 0.750

The 10 most intense peaks (2θ = 10–80°), most intense first:
Position (°2θ)  intensity
28.0  100
16.4  56
29.0  46
34.0  38
21.0  31
35.2  27
40.0  22
48.9  21
15.9  20
50.8  18

=====

Record 5
# RbCd2Sb
Simulated X-ray powder pattern, a wavelength of 1.5418 Å. Input: a DFT-relaxed cell (GGA-PBE, Alexandria).
Lines closer than 0.1° are merged.

Cell: 4.829 4.829 11.944 Å, 90.00 90.00 90.00°
Element x y z (fractional)
1 Rb 0.250 0.250 0.240
2 Rb 0.750 0.750 0.760
3 Cd 0.250 0.250 0.940
4 Cd 0.250 0.750 0.500
5 Cd 0.750 0.250 0.500
6 Cd 0.750 0.750 0.060
7 Sb 0.250 0.250 0.648
8 Sb 0.750 0.750 0.352

The 10 most intense peaks (2θ = 10–80°), most intense first:
Position (°2θ)  intensity
29.1  100
37.2  91
34.6  80
27.2  53
26.1  53
47.9  49
35.3  44
53.7  42
30.1  39
52.3  28

=====

Record 6
# Rb3Cd5Sb2
Simulated X-ray powder pattern, a wavelength of 1.5418 Å. Input: a DFT-relaxed cell (GGA-PBE, Alexandria).
Lines closer than 0.1° are merged.

Cell: 10.775 10.775 10.775 Å, 113.61 79.73 141.06°
Element x y z (fractional)
1 Rb 0.133 0.731 0.865
2 Rb 0.250 0.250 0.000
3 Rb 0.367 0.231 0.598
4 Rb 0.633 0.769 0.402
5 Rb 0.750 0.750 0.000
6 Rb 0.867 0.269 0.135
7 Cd 0.010 0.250 0.760
8 Cd 0.131 0.400 0.531
9 Cd 0.250 0.750 0.500
10 Cd 0.369 0.900 0.269
11 Cd 0.490 0.250 0.240
12 Cd 0.510 0.750 0.760
13 Cd 0.631 0.100 0.731
14 Cd 0.750 0.250 0.500
15 Cd 0.869 0.600 0.469
16 Cd 0.990 0.750 0.240
17 Sb 0.151 0.154 0.305
18 Sb 0.349 0.654 0.002
19 Sb 0.651 0.346 0.998
20 Sb 0.849 0.846 0.695

The 10 most intense peaks (2θ = 10–80°), most intense first:
Position (°2θ)  intensity
33.0  100
28.0  62
26.3  61
29.1  51
37.5  25
39.5  25
15.0  21
18.0  20
50.8  17
43.8  17

=====

Record 7
# RbCd6Sb2
Simulated X-ray powder pattern, a wavelength of 1.5418 Å. Input: a DFT-relaxed cell (GGA-PBE, Alexandria).
Lines closer than 0.1° are merged.

Cell: 4.588 4.588 12.010 Å, 90.00 90.00 90.00°
Element x y z (fractional)
1 Rb 0.000 0.000 0.000
2 Cd 0.000 0.000 0.500
3 Cd 0.000 0.500 0.317
4 Cd 0.000 0.500 0.683
5 Cd 0.500 0.000 0.317
6 Cd 0.500 0.000 0.683
7 Cd 0.500 0.500 0.500
8 Sb 0.500 0.500 0.164
9 Sb 0.500 0.500 0.836

The 10 most intense peaks (2θ = 10–80°), most intense first:
Position (°2θ)  intensity
35.6  100
39.3  58
31.3  55
68.9  37
29.6  26
61.5  25
56.8  19
45.3  16
24.4  16
75.4  13

=====

Record 8
# Rb4Cd5Sb6
Simulated X-ray powder pattern, a wavelength of 1.5418 Å. Input: a DFT-relaxed cell (GGA-PBE, Alexandria).
Lines closer than 0.1° are merged.

Cell: 11.401 11.401 20.182 Å, 90.00 90.00 155.36°
Element x y z (fractional)
1 Rb 0.001 0.999 0.500
2 Rb 0.001 0.999 0.751
3 Rb 0.183 0.817 0.444
4 Rb 0.183 0.817 0.806
5 Rb 0.817 0.183 0.306
6 Rb 0.817 0.183 0.944
7 Rb 0.999 0.001 0.000
8 Rb 0.999 0.001 0.251
9 Cd 0.129 0.871 0.125
10 Cd 0.271 0.729 0.125
11 Cd 0.370 0.630 0.753
12 Cd 0.371 0.629 0.498
13 Cd 0.424 0.576 0.125
14 Cd 0.576 0.424 0.625
15 Cd 0.629 0.371 0.998
16 Cd 0.630 0.370 0.253
17 Cd 0.729 0.271 0.625
18 Cd 0.871 0.129 0.625
19 Sb 0.144 0.856 0.624
20 Sb 0.201 0.799 0.001
21 Sb 0.201 0.799 0.249
22 Sb 0.438 0.562 0.373
23 Sb 0.438 0.562 0.878
24 Sb 0.446 0.554 0.625
25 Sb 0.554 0.446 0.125
26 Sb 0.562 0.438 0.378
27 Sb 0.562 0.438 0.873
28 Sb 0.799 0.201 0.501
29 Sb 0.799 0.201 0.749
30 Sb 0.856 0.144 0.124

The 10 most intense peaks (2θ = 10–80°), most intense first:
Position (°2θ)  intensity
38.2  100
36.9  82
27.1  65
35.6  52
32.5  48
28.2  47
52.2  46
25.8  46
29.9  36
23.4  32

=====

Record 9
# RbCd3Sb2
Simulated X-ray powder pattern, a wavelength of 1.5418 Å. Input: a DFT-relaxed cell (GGA-PBE, Alexandria).
Lines closer than 0.1° are merged.

Cell: 4.929 9.357 10.092 Å, 114.66 101.22 97.88°
Element x y z (fractional)
1 Rb 0.163 0.236 0.460
2 Rb 0.837 0.764 0.540
3 Cd 0.124 0.465 0.175
4 Cd 0.235 0.953 0.050
5 Cd 0.352 0.264 0.901
6 Cd 0.648 0.736 0.099
7 Cd 0.765 0.047 0.950
8 Cd 0.876 0.535 0.825
9 Sb 0.230 0.809 0.270
10 Sb 0.393 0.686 0.790
11 Sb 0.607 0.314 0.210
12 Sb 0.770 0.191 0.730

The 10 most intense peaks (2θ = 10–80°), most intense first:
Position (°2θ)  intensity
10.0  100
29.3  48
27.8  48
28.8  44
29.7  36
37.0  34
40.4  32
23.9  29
37.9  27
36.0  27

=====

Record 10
# Rb5CdSb2
Simulated X-ray powder pattern, a wavelength of 1.5418 Å. Input: a DFT-relaxed cell (GGA-PBE, Alexandria).
Lines closer than 0.1° are merged.

Cell: 11.052 11.052 11.052 Å, 33.86 33.86 33.86°
Element x y z (fractional)
1 Rb 0.000 0.000 0.000
2 Rb 0.128 0.128 0.128
3 Rb 0.280 0.280 0.280
4 Rb 0.720 0.720 0.720
5 Rb 0.872 0.872 0.872
6 Cd 0.500 0.500 0.500
7 Sb 0.410 0.410 0.410
8 Sb 0.590 0.590 0.590

The 10 most intense peaks (2θ = 10–80°), most intense first:
Position (°2θ)  intensity
27.7  100
25.6  41
49.0  20
27.9  18
38.1  18
32.9  18
47.7  14
57.3  13
16.2  12
78.7  12

=====

Record 11
# Rb3Cd2Sn2Sb4
Simulated X-ray powder pattern, a wavelength of 1.5418 Å. Input: a DFT-relaxed cell (GGA-PBE, Alexandria).
Lines closer than 0.1° are merged.

Cell: 5.070 5.070 19.472 Å, 90.00 90.00 120.00°
Element x y z (fractional)
1 Rb 0.000 0.000 0.000
2 Rb 0.000 0.000 0.278
3 Rb 0.000 0.000 0.722
4 Cd 0.333 0.667 0.139
5 Cd 0.667 0.333 0.861
6 Sn 0.333 0.667 0.558
7 Sn 0.667 0.333 0.442
8 Sb 0.333 0.667 0.405
9 Sb 0.333 0.667 0.860
10 Sb 0.667 0.333 0.140
11 Sb 0.667 0.333 0.595

The 10 most intense peaks (2θ = 10–80°), most intense first:
Position (°2θ)  intensity
35.4  100
27.4  72
24.5  59
48.6  59
32.2  32
13.6  20
45.3  19
63.6  18
73.1  17
58.8  16

=====

Record 12
# RbCdSnSb
Simulated X-ray powder pattern, a wavelength of 1.5418 Å. Input: a DFT-relaxed cell (GGA-PBE, Alexandria).
Lines closer than 0.1° are merged.

Cell: 4.054 4.054 7.971 Å, 90.00 90.00 90.00°
Element x y z (fractional)
1 Rb 0.000 0.000 0.000
2 Cd 0.000 0.000 0.489
3 Sn 0.500 0.500 0.674
4 Sb 0.500 0.500 0.316

The 10 most intense peaks (2θ = 10–80°), most intense first:
Position (°2θ)  intensity
31.5  100
31.2  81
11.1  40
55.7  39
44.7  30
40.6  28
62.0  16
79.5  14
73.9  13
51.1  13